[1]
# K2Zn6Ag9
Simulated XRD peak list, Cu Kα. Input: a cell relaxed with GGA-PBE.

Largest 10 diffraction maxima, low angle first, 10° ≤ 2θ ≤ 80°:
- hkl 1 0 0, d 5.129, 17.29 deg, intensity 77
- hkl 0 0 3, d 4.171, 21.30 deg, intensity 18
- hkl 2 0 0, d 2.564, 34.99 deg, intensity 47
- hkl 1 1 3, d 2.415, 37.24 deg, intensity 73
- hkl 2 0 3, d 2.185, 41.33 deg, intensity 100
- hkl 0 0 6, d 2.085, 43.39 deg, intensity 25
- hkl 2 0 6, d 1.618, 56.91 deg, intensity 21
- hkl 3 0 3, d 1.582, 58.33 deg, intensity 18
- hkl 2 2 0, d 1.481, 62.76 deg, intensity 24
- hkl 2 2 6, d 1.207, 79.37 deg, intensity 23

Cell and atoms:
```
data_K2Zn6Ag9
_space_group_name_H-M_alt 'P 6/m m m'
_space_group_IT_number 191
_space_group_name_Hall '-P 6 2'
_cell_length_a 5.9224
_cell_length_b 5.9224
_cell_length_c 12.5121
_cell_angle_alpha 90.00
_cell_angle_beta 90.00
_cell_angle_gamma 120.00
loop_
_atom_site_label
_atom_site_type_symbol
_atom_site_fract_x
_atom_site_fract_y
_atom_site_fract_z
K1 K 0.0000 0.0000 0.1759
Zn1 Zn 0.3333 0.6667 0.1669
Zn2 Zn 0.3333 0.6667 0.5000
Ag1 Ag 0.0000 0.5000 0.0000
Ag2 Ag 0.0000 0.5000 0.3345
```

=====

[2]
# K3Zn4Ag4
Simulated XRD peak list, Cu Kα. Input: a cell relaxed with GGA-PBE.

Largest 10 diffraction maxima, low angle first, 10° ≤ 2θ ≤ 80°:
- hkl 1 1 0, d 5.844, 15.16 deg, intensity 75
- hkl 2 0 0, d 4.132, 21.50 deg, intensity 29
- hkl 2 1 1, d 3.374, 26.42 deg, intensity 26
- hkl 2 2 0, d 2.922, 30.60 deg, intensity 100
- hkl 3 1 0, d 2.613, 34.31 deg, intensity 62
- hkl 3 2 1, d 2.209, 40.86 deg, intensity 93
- hkl 4 1 1, d 1.948, 46.63 deg, intensity 88
- hkl 3 3 2, d 1.762, 51.89 deg, intensity 19
- hkl 4 3 1, d 1.621, 56.80 deg, intensity 18
- hkl 6 1 1, d 1.341, 70.20 deg, intensity 41

Cell and atoms:
```
data_K3Zn4Ag4
_space_group_name_H-M_alt 'I -4 3 m'
_space_group_IT_number 217
_space_group_name_Hall 'I -4 2 3'
_cell_length_a 8.264
_cell_length_b 8.264
_cell_length_c 8.264
_cell_angle_alpha 90.00
_cell_angle_beta 90.00
_cell_angle_gamma 90.00
loop_
_atom_site_label
_atom_site_type_symbol
_atom_site_fract_x
_atom_site_fract_y
_atom_site_fract_z
K1 K 0.000 0.000 0.500
Zn1 Zn 0.116 0.116 0.116
Ag1 Ag 0.201 0.201 0.799
```

=====

[3]
# KZn2Ag9
Simulated XRD peak list, Cu Kα. Input: a cell relaxed with GGA-PBE.

Largest 10 diffraction maxima, low angle first, 10° ≤ 2θ ≤ 80°:
- hkl 1 0 1, d 6.160, 14.38 deg, intensity 20
- hkl 2 0 0, d 5.699, 15.55 deg, intensity 28
- hkl 3 1 2, d 2.568, 34.93 deg, intensity 54
- hkl 4 2 0, d 2.549, 35.21 deg, intensity 50
- hkl 1 0 3, d 2.386, 37.69 deg, intensity 20
- hkl 4 0 2, d 2.249, 40.10 deg, intensity 23
- hkl 2 1 3, d 2.201, 41.00 deg, intensity 31
- hkl 5 0 1, d 2.177, 41.49 deg, intensity 100
- hkl 4 2 2, d 2.092, 43.25 deg, intensity 31
- hkl 5 5 2, d 1.475, 63.01 deg, intensity 17

Cell and atoms:
```
data_KZn2Ag9
_space_group_name_H-M_alt 'I 41/a m d'
_space_group_IT_number 141
_cell_length_a 11.398
_cell_length_b 11.398
_cell_length_c 7.322
_cell_angle_alpha 90.00
_cell_angle_beta 90.00
_cell_angle_gamma 90.00
loop_
_space_group_symop_operation_xyz
'x,y,z'
'-x,-y,-z'
'-y+1/4,x+3/4,z+1/4'
'y+1/4,-x+3/4,-z+1/4'
'-x+1/2,-y,z+1/2'
'x+1/2,y,-z+1/2'
'y+1/4,-x+1/4,z+3/4'
'-y+1/4,x+1/4,-z+3/4'
'x,-y,-z'
'-x,y,z'
'-y+1/4,-x+1/4,-z+3/4'
'y+1/4,x+1/4,z+3/4'
'-x+1/2,y,-z+1/2'
'x+1/2,-y,z+1/2'
'y+1/4,x+3/4,-z+1/4'
'-y+1/4,-x+3/4,z+1/4'
'x+1/2,y+1/2,z+1/2'
'-x+1/2,-y+1/2,-z+1/2'
'-y+3/4,x+1/4,z+3/4'
'y+3/4,-x+1/4,-z+3/4'
'-x,-y+1/2,z'
'x,y+1/2,-z'
'y+3/4,-x+3/4,z+1/4'
'-y+3/4,x+3/4,-z+1/4'
'x+1/2,-y+1/2,-z+1/2'
'-x+1/2,y+1/2,z+1/2'
'-y+3/4,-x+3/4,-z+1/4'
'y+3/4,x+3/4,z+1/4'
'-x,y+1/2,-z'
'x,-y+1/2,z'
'y+3/4,x+1/4,-z+3/4'
'-y+3/4,-x+1/4,z+3/4'
loop_
_atom_site_label
_atom_site_type_symbol
_atom_site_fract_x
_atom_site_fract_y
_atom_site_fract_z
K1 K 0.000 0.250 0.375
Zn1 Zn 0.000 0.000 0.000
Ag1 Ag 0.000 0.250 0.875
Ag2 Ag 0.122 0.046 0.687
```

=====

[4]
# KZn5Ag7
Simulated XRD peak list, Cu Kα. Input: a cell relaxed with GGA-PBE.

Largest 10 diffraction maxima, low angle first, 10° ≤ 2θ ≤ 80°:
- hkl 0 1 1, d 6.675, 13.26 deg, intensity 27
- hkl 1 3 0, d 2.702, 33.15 deg, intensity 23
- hkl 2 0 0, d 2.667, 33.61 deg, intensity 23
- hkl 0 0 4, d 2.369, 37.98 deg, intensity 25
- hkl 0 4 0, d 2.350, 38.29 deg, intensity 100
- hkl 2 0 2, d 2.322, 38.78 deg, intensity 40
- hkl 0 4 2, d 2.108, 42.89 deg, intensity 44
- hkl 1 4 1, d 2.098, 43.12 deg, intensity 25
- hkl 2 2 2, d 2.083, 43.44 deg, intensity 71
- hkl 2 0 6, d 1.358, 69.16 deg, intensity 19

Cell and atoms:
```
data_KZn5Ag7
_space_group_name_H-M_alt 'I m m 2'
_space_group_IT_number 44
_cell_length_a 5.333
_cell_length_b 9.404
_cell_length_c 9.477
_cell_angle_alpha 90.00
_cell_angle_beta 90.00
_cell_angle_gamma 90.00
loop_
_space_group_symop_operation_xyz
'x,y,z'
'-x,-y,z'
'-x,y,z'
'x,-y,z'
'x+1/2,y+1/2,z+1/2'
'-x+1/2,-y+1/2,z+1/2'
'-x+1/2,y+1/2,z+1/2'
'x+1/2,-y+1/2,z+1/2'
loop_
_atom_site_label
_atom_site_type_symbol
_atom_site_fract_x
_atom_site_fract_y
_atom_site_fract_z
K1 K 0.000 0.000 0.000
Zn1 Zn 0.000 0.500 0.735
Zn2 Zn 0.250 0.247 0.254
Ag1 Ag 0.000 0.000 0.347
Ag2 Ag 0.000 0.000 0.650
Ag3 Ag 0.000 0.282 0.506
Ag4 Ag 0.000 0.350 0.003
Ag5 Ag 0.000 0.500 0.278
```

=====

[5]
# K2Zn5Ag5
Simulated XRD peak list, Cu Kα. Input: a cell relaxed with GGA-PBE.

Largest 10 diffraction maxima, low angle first, 10° ≤ 2θ ≤ 80°:
- hkl 0 0 2, d 5.045, 17.58 deg, intensity 27
- hkl 0 1 1, d 4.920, 18.03 deg, intensity 57
- hkl 0 1 3, d 2.888, 30.96 deg, intensity 19
- hkl 1 1 3, d 2.424, 37.08 deg, intensity 100
- hkl 1 2 0, d 2.382, 37.76 deg, intensity 38
- hkl 2 0 0, d 2.231, 40.43 deg, intensity 39
- hkl 1 0 4, d 2.196, 41.11 deg, intensity 20
- hkl 1 2 2, d 2.154, 41.94 deg, intensity 62
- hkl 1 3 3, d 1.539, 60.11 deg, intensity 23
- hkl 2 2 6, d 1.212, 78.98 deg, intensity 18

Cell and atoms:
```
data_K2Zn5Ag5
_space_group_name_H-M_alt 'P m m m'
_space_group_IT_number 47
_cell_length_a 4.462
_cell_length_b 5.636
_cell_length_c 10.090
_cell_angle_alpha 90.00
_cell_angle_beta 90.00
_cell_angle_gamma 90.00
loop_
_space_group_symop_operation_xyz
'x,y,z'
'-x,-y,-z'
'-x,-y,z'
'x,y,-z'
'x,-y,-z'
'-x,y,z'
'-x,y,-z'
'x,-y,z'
loop_
_atom_site_label
_atom_site_type_symbol
_atom_site_fract_x
_atom_site_fract_y
_atom_site_fract_z
K1 K 0.000 0.000 0.000
K2 K 0.000 0.500 0.500
Zn1 Zn 0.500 0.000 0.500
Zn2 Zn 0.500 0.249 0.251
Ag1 Ag 0.000 0.000 0.332
Ag2 Ag 0.000 0.500 0.184
Ag3 Ag 0.500 0.500 0.000
```

=====

[6]
# KZn9Ag4
Simulated XRD peak list, Cu Kα. Input: a cell relaxed with GGA-PBE.

Largest 10 diffraction maxima, low angle first, 10° ≤ 2θ ≤ 80°:
- hkl 1 1 0, d 6.328, 14.00 deg, intensity 29
- hkl 2 0 0, d 4.473, 19.85 deg, intensity 9
- hkl 3 1 0, d 2.830, 31.61 deg, intensity 13
- hkl 2 0 4, d 2.584, 34.71 deg, intensity 40
- hkl 2 2 4, d 2.238, 40.29 deg, intensity 7
- hkl 4 1 1, d 2.139, 42.24 deg, intensity 100
- hkl 0 0 6, d 2.111, 42.84 deg, intensity 20
- hkl 3 3 0, d 2.108, 42.90 deg, intensity 19
- hkl 4 1 7, d 1.389, 67.40 deg, intensity 15
- hkl 6 2 4, d 1.291, 73.31 deg, intensity 6

Cell and atoms:
```
data_KZn9Ag4
_space_group_name_H-M_alt 'I 4/m c m'
_space_group_IT_number 140
_space_group_name_Hall '-I 4 2c'
_cell_length_a 8.943
_cell_length_b 8.943
_cell_length_c 12.680
_cell_angle_alpha 90.00
_cell_angle_beta 90.00
_cell_angle_gamma 90.00
loop_
_atom_site_label
_atom_site_type_symbol
_atom_site_fract_x
_atom_site_fract_y
_atom_site_fract_z
K1 K 0.000 0.000 0.250
Zn1 Zn 0.000 0.500 0.000
Zn2 Zn 0.059 0.201 0.000
Zn3 Zn 0.113 0.387 0.179
Ag1 Ag 0.184 0.316 0.378
```

=====

[7]
# La4Ag
Simulated XRD peak list, Cu Kα. Input: a cell relaxed with GGA-PBE.

Largest 10 diffraction maxima, low angle first, 10° ≤ 2θ ≤ 80°:
- hkl 1 1 5, d 2.927, 30.54 deg, intensity 100
- hkl 2 0 0, d 2.701, 33.17 deg, intensity 46
- hkl 0 0 10, d 2.279, 39.55 deg, intensity 8
- hkl 2 0 8, d 1.960, 46.33 deg, intensity 7
- hkl 2 2 0, d 1.910, 47.62 deg, intensity 16
- hkl 2 0 10, d 1.742, 52.55 deg, intensity 14
- hkl 1 3 5, d 1.601, 57.58 deg, intensity 16
- hkl 3 1 5, d 1.598, 57.69 deg, intensity 16
- hkl 1 1 13, d 1.593, 57.88 deg, intensity 7
- hkl 2 2 10, d 1.464, 63.57 deg, intensity 8

Cell and atoms:
```
data_La4Ag
_space_group_name_H-M_alt 'F m m m'
_space_group_IT_number 69
_space_group_name_Hall '-F 2 2'
_cell_length_a 5.394
_cell_length_b 5.408
_cell_length_c 22.788
_cell_angle_alpha 90.00
_cell_angle_beta 90.00
_cell_angle_gamma 90.00
loop_
_atom_site_label
_atom_site_type_symbol
_atom_site_fract_x
_atom_site_fract_y
_atom_site_fract_z
La1 La 0.000 0.000 0.083
La2 La 0.000 0.000 0.305
Ag1 Ag 0.000 0.000 0.500
```

=====

[8]
# La2Ag17
Simulated XRD peak list, Cu Kα. Input: a cell relaxed with GGA-PBE.

Largest 10 diffraction maxima, low angle first, 10° ≤ 2θ ≤ 80°:
- hkl 3 0 0, d 2.795, 32.03 deg, intensity 34
- hkl 0 2 4, d 2.727, 32.85 deg, intensity 27
- hkl 2 2 0, d 2.420, 37.15 deg, intensity 59
- hkl 0 3 3, d 2.413, 37.26 deg, intensity 100
- hkl 0 0 6, d 2.393, 37.58 deg, intensity 36
- hkl 2 0 5, d 2.369, 37.98 deg, intensity 20
- hkl 2 2 3, d 2.160, 41.83 deg, intensity 66
- hkl 3 3 3, d 1.529, 60.56 deg, intensity 17
- hkl 6 0 0, d 1.397, 66.97 deg, intensity 23
- hkl 0 3 9, d 1.386, 67.62 deg, intensity 21

Cell and atoms:
```
data_La2Ag17
_space_group_name_H-M_alt 'R -3 m'
_space_group_IT_number 166
_space_group_name_Hall '-R 3 2"'
_cell_length_a 9.6807
_cell_length_b 9.6807
_cell_length_c 14.3588
_cell_angle_alpha 90.00
_cell_angle_beta 90.00
_cell_angle_gamma 120.00
loop_
_atom_site_label
_atom_site_type_symbol
_atom_site_fract_x
_atom_site_fract_y
_atom_site_fract_z
La1 La 0.0000 0.0000 0.1584
Ag1 Ag 0.0000 0.0000 0.4002
Ag2 Ag 0.0000 0.2999 0.5000
Ag3 Ag 0.0000 0.5000 0.0000
Ag4 Ag 0.0039 0.5019 0.6519
```